EuHfVSnO6: computed powder diffractogram (a wavelength of 1.5418 Å), based on a crystal structure in the Materials Project, relaxed with PBE+U.
Neutral-atom scattering factors, no anomalous dispersion.

Cell and atoms:
Lattice parameters (Å, degrees): 8.0264 8.0264 8.0264 90.00 90.00 90.00
Space group F-43m (No. 216)
Unique sites:
Eu (0.0000, 0.0000, 0.0000) x4
Hf (0.2500, 0.2500, 0.2500) x4
V (0.2500, 0.2500, 0.7500) x4
Sn (0.0000, 0.0000, 0.5000) x4
O (0.0064, 0.2500, 0.7500) x24

Largest 12 diffraction maxima, sorted by position, 10 to 90 degrees two-theta:
- 2θ 19.15, rel. 15, hkl 1 1 1
- 2θ 31.53, rel. 100, hkl 2 2 0
- 2θ 37.15, rel. 10, hkl 3 1 1
- 2θ 38.87, rel. 4, hkl 2 2 2
- 2θ 45.19, rel. 30, hkl 4 0 0
- 2θ 49.50, rel. 5, hkl 3 3 1
- 2θ 56.14, rel. 40, hkl 4 2 2
- 2θ 59.88, rel. 3, hkl 3 3 3
- 2θ 65.82, rel. 18, hkl 4 4 0
- 2θ 69.25, rel. 3, hkl 5 3 1
- 2θ 74.81, rel. 18, hkl 6 2 0
- 2θ 83.43, rel. 6, hkl 4 4 4

Eu2HfVO6: computed powder diffractogram (a wavelength of 1.5418 Å), based on a crystal structure in the Materials Project, relaxed with PBE+U.
Neutral-atom scattering factors, no anomalous dispersion.

Cell and atoms:
Lattice parameters (Å, degrees): 8.0381 8.0381 8.0381 90.00 90.00 90.00
Space group Fm-3m (No. 225)
Unique sites:
Eu (0.2500, 0.2500, 0.2500) x8
Hf (0.0000, 0.0000, 0.0000) x4
V (0.0000, 0.0000, 0.5000) x4
O (0.0000, 0.0000, 0.2554) x24

Largest 12 diffraction maxima, sorted by position, 10 to 90 degrees two-theta:
- 2θ 19.12, rel. 13, hkl 1 1 1
- 2θ 31.48, rel. 100, hkl 2 2 0
- 2θ 37.10, rel. 8, hkl 3 1 1
- 2θ 38.81, rel. 5, hkl 2 2 2
- 2θ 45.12, rel. 29, hkl 4 0 0
- 2θ 49.42, rel. 4, hkl 3 3 1
- 2θ 56.05, rel. 40, hkl 4 2 2
- 2θ 59.78, rel. 3, hkl 3 3 3
- 2θ 65.71, rel. 18, hkl 4 4 0
- 2θ 69.14, rel. 3, hkl 5 3 1
- 2θ 74.69, rel. 17, hkl 6 2 0
- 2θ 83.28, rel. 6, hkl 4 4 4

EuV2IO9: computed powder diffractogram (a wavelength of 1.5418 Å), based on a crystal structure in the Materials Project, relaxed with PBE+U.
Neutral-atom scattering factors, no anomalous dispersion.

Cell and atoms:
Lattice parameters (Å, degrees): 7.1046 14.7138 7.2936 90.00 90.00 90.00
Space group Pbcm (No. 57)
Unique sites:
Eu (0.1487, 0.0476, 0.2500) x4
V (0.1835, 0.7285, 0.7500) x4
V (0.4608, 0.2500, 0.0000) x4
I (0.2979, 0.0537, 0.7500) x4
O (0.0137, 0.6927, 0.2500) x4
O (0.0812, 0.6253, 0.7500) x4
O (0.1734, 0.5113, 0.0696) x8
O (0.2637, 0.7500, 0.0000) x4
O (0.3253, 0.1581, 0.0452) x8
O (0.4715, 0.7194, 0.7500) x4
O (0.4738, 0.0014, 0.2500) x4

Largest 12 diffraction maxima, sorted by position, 10 to 90 degrees two-theta:
- 2θ 12.03, rel. 39, hkl 0 2 0
- 2θ 17.35, rel. 22, hkl 1 2 0
- 2θ 22.02, rel. 100, hkl 1 3 0
- 2θ 24.20, rel. 34, hkl 0 4 0
- 2θ 24.41, rel. 51, hkl 0 0 2
- 2θ 27.29, rel. 50, hkl 0 2 2
- 2θ 28.60, rel. 69, hkl 2 1 1
- 2θ 33.11, rel. 66, hkl 1 3 2
- 2θ 41.43, rel. 39, hkl 1 5 2
- 2θ 45.62, rel. 38, hkl 2 1 3
- 2θ 47.32, rel. 37, hkl 3 4 1
- 2θ 51.81, rel. 23, hkl 1 7 2

KEuMn4O12: computed powder diffractogram (a wavelength of 1.5418 Å), based on a crystal structure in the Materials Project, relaxed with PBE+U.
Neutral-atom scattering factors, no anomalous dispersion.

Cell and atoms:
Lattice parameters (Å, degrees): 7.3547 7.3872 7.3874 90.00 90.00 90.00
Space group Amm2 (No. 38)
Unique sites:
K (0.0000, 0.0000, 0.0000) x2
Eu (0.5000, 0.0000, 0.4889) x2
Mn (0.2454, 0.2503, 0.2431) x8
O (0.0000, 0.2241, 0.7415) x4
O (0.2270, 0.0000, 0.2745) x4
O (0.2542, 0.2281, 0.9936) x8
O (0.2776, 0.0000, 0.7159) x4
O (0.5000, 0.2231, 0.2441) x4

Largest 12 diffraction maxima, sorted by position, 10 to 90 degrees two-theta:
- 2θ 12.03, rel. 17, hkl 1 0 0
- 2θ 16.97, rel. 19, hkl 0 1 1
- 2θ 20.86, rel. 72, hkl 1 1 1
- 2θ 27.01, rel. 14, hkl 1 0 2
- 2θ 34.39, rel. 100, hkl 2 2 0
- 2θ 40.52, rel. 26, hkl 1 3 1
- 2θ 40.65, rel. 13, hkl 3 1 1
- 2θ 49.34, rel. 31, hkl 0 0 4
- 2θ 49.58, rel. 16, hkl 4 0 0
- 2θ 61.54, rel. 26, hkl 2 2 4
- 2θ 61.70, rel. 13, hkl 4 2 2
- 2θ 72.55, rel. 16, hkl 4 0 4

KEuMo2O8: computed powder diffractogram (a wavelength of 1.5418 Å), based on a crystal structure in the Materials Project, relaxed with PBE+U.
Neutral-atom scattering factors, no anomalous dispersion.

Cell and atoms:
Lattice parameters (Å, degrees): 5.4227 7.0809 10.8680 75.60 76.52 67.58
Space group P-1 (No. 2)
Unique sites:
K (0.1181, 0.1952, 0.0558) x2
Eu (0.1204, 0.6869, 0.5637) x2
Mo (0.3641, 0.5628, 0.2148) x2
Mo (0.3866, 0.0694, 0.6714) x2
O (0.1192, 0.5621, 0.3687) x2
O (0.1718, 0.0863, 0.8197) x2
O (0.2078, 0.0135, 0.5677) x2
O (0.2498, 0.5039, 0.0953) x2
O (0.3037, 0.1422, 0.3042) x2
O (0.3061, 0.6249, 0.7553) x2
O (0.4100, 0.8055, 0.1517) x2
O (0.4581, 0.3103, 0.5901) x2

Largest 12 diffraction maxima, sorted by position, 10 to 90 degrees two-theta:
- 2θ 26.71, rel. 99, hkl 1 0 -2
- 2θ 27.14, rel. 88, hkl 1 1 3
- 2θ 27.36, rel. 96, hkl 1 2 0
- 2θ 27.48, rel. 100, hkl 1 -1 1
- 2θ 29.92, rel. 48, hkl 0 2 2
- 2θ 31.40, rel. 39, hkl 0 1 -3
- 2θ 33.04, rel. 35, hkl 2 1 1
- 2θ 43.27, rel. 23, hkl 0 1 5
- 2θ 44.58, rel. 29, hkl 0 3 -1
- 2θ 44.97, rel. 27, hkl -2 1 1
- 2θ 45.37, rel. 26, hkl 2 3 3
- 2θ 55.75, rel. 26, hkl 3 0 2

KNdEuWO6: computed powder diffractogram (a wavelength of 1.5418 Å), based on a crystal structure in the Materials Project, relaxed with PBE+U.
Neutral-atom scattering factors, no anomalous dispersion.

Cell and atoms:
Lattice parameters (Å, degrees): 8.5505 8.5505 8.5505 90.00 90.00 90.00
Space group F-43m (No. 216)
Unique sites:
K (0.0000, 0.0000, 0.0000) x4
Nd (0.2500, 0.2500, 0.7500) x4
Eu (0.0000, 0.0000, 0.5000) x4
W (0.2500, 0.2500, 0.2500) x4
O (0.0216, 0.2500, 0.2500) x24

Largest 12 diffraction maxima, sorted by position, 10 to 90 degrees two-theta:
- 2θ 17.97, rel. 13, hkl 1 1 1
- 2θ 20.78, rel. 14, hkl 2 0 0
- 2θ 29.55, rel. 100, hkl 2 2 0
- 2θ 34.80, rel. 7, hkl 3 1 1
- 2θ 42.28, rel. 29, hkl 4 0 0
- 2θ 46.28, rel. 3, hkl 3 3 1
- 2θ 47.56, rel. 6, hkl 4 2 0
- 2θ 52.42, rel. 40, hkl 4 2 2
- 2θ 61.33, rel. 18, hkl 4 4 0
- 2θ 69.53, rel. 18, hkl 6 2 0
- 2θ 77.31, rel. 6, hkl 4 4 4
- 2θ 84.86, rel. 22, hkl 6 4 2

KNdEuWO6: computed powder diffractogram (a wavelength of 1.5418 Å), based on a crystal structure in the Materials Project, relaxed with PBE+U.
Neutral-atom scattering factors, no anomalous dispersion.

Cell and atoms:
Lattice parameters (Å, degrees): 8.4838 8.4899 8.5135 90.00 90.00 90.00
Space group Pnnn (No. 48, origin choice 2)
Unique sites:
K (0.2500, 0.2500, 0.2500) x2
K (0.2500, 0.7500, 0.7500) x2
Nd (0.0000, 0.0000, 0.0000) x4
Eu (0.2500, 0.2500, 0.7500) x2
Eu (0.2500, 0.7500, 0.2500) x2
W (0.0000, 0.0000, 0.5000) x4
O (0.0262, 0.0389, 0.7281) x8
O (0.0293, 0.7271, 0.9822) x8
O (0.2273, 0.0234, 0.4724) x8

Largest 12 diffraction maxima, sorted by position, 10 to 90 degrees two-theta:
- 2θ 14.74, rel. 9, hkl 0 1 1
- 2θ 20.91, rel. 14, hkl 0 0 2
- 2θ 29.74, rel. 100, hkl 0 2 2
- 2θ 42.47, rel. 10, hkl 0 0 4
- 2θ 42.61, rel. 18, hkl 4 0 0
- 2θ 52.79, rel. 42, hkl 2 4 2
- 2θ 61.73, rel. 11, hkl 4 0 4
- 2θ 61.84, rel. 6, hkl 4 4 0
- 2θ 69.90, rel. 6, hkl 2 0 6
- 2θ 70.12, rel. 12, hkl 0 6 2
- 2θ 85.44, rel. 7, hkl 2 4 6
- 2θ 85.58, rel. 11, hkl 4 6 2

KEuNi4O12: computed powder diffractogram (a wavelength of 1.5418 Å), based on a crystal structure in the Materials Project, relaxed with PBE+U.
Neutral-atom scattering factors, no anomalous dispersion.

Cell and atoms:
Lattice parameters (Å, degrees): 7.7257 7.6121 7.6564 90.00 90.00 90.00
Space group Amm2 (No. 38)
Unique sites:
K (0.0000, 0.0000, 0.0000) x2
Eu (0.5000, 0.0000, 0.4802) x2
Ni (0.2482, 0.2479, 0.7385) x8
O (0.0000, 0.2203, 0.7367) x4
O (0.2231, 0.0000, 0.2733) x4
O (0.2532, 0.2239, 0.9892) x8
O (0.2838, 0.0000, 0.7049) x4
O (0.5000, 0.2186, 0.2427) x4

Largest 12 diffraction maxima, sorted by position, 10 to 90 degrees two-theta:
- 2θ 11.45, rel. 23, hkl 1 0 0
- 2θ 16.42, rel. 23, hkl 0 1 1
- 2θ 20.07, rel. 88, hkl 1 1 1
- 2θ 32.99, rel. 100, hkl 2 2 0
- 2θ 33.19, rel. 51, hkl 0 2 2
- 2θ 38.74, rel. 17, hkl 3 1 1
- 2θ 47.05, rel. 23, hkl 4 0 0
- 2θ 47.50, rel. 22, hkl 0 0 4
- 2θ 47.79, rel. 21, hkl 0 4 0
- 2θ 58.79, rel. 21, hkl 4 2 2
- 2θ 59.08, rel. 21, hkl 2 2 4
- 2θ 59.27, rel. 20, hkl 2 4 2